(1)
The following is a computed PXRD pattern of CsRbMg6. It was derived from a PBE-relaxed structure, using CuKα.

Peak list (10 most intense, 2θ = 15–90°, in order of rising 2θ)
2θ = 17.59°, I 40, hkl 0 1 0; 2θ = 20.89°, I 100, hkl 0 1 1; 2θ = 22.49°, I 47, hkl 0 0 2; 2θ = 25.97°, I 39, hkl 2 0 0; 2θ = 26.41°, I 38, hkl 2 0 -2; 2θ = 28.69°, I 81, hkl 0 1 2; 2θ = 31.54°, I 65, hkl 2 1 0; 2θ = 31.91°, I 62, hkl 2 1 -2; 2θ = 35.61°, I 35, hkl 0 2 0; 2θ = 49.50°, I 29, hkl 0 1 4

Structural model:
Unit cell a=7.540 b=5.043 c=8.690 alpha=90.00 beta=114.50 gamma=90.00
Element x y z (fractional)
Cs 0.000 0.000 0.000
Rb 0.505 0.000 0.011
Mg 0.011 0.000 0.521
Mg 0.307 0.500 0.619
Mg 0.404 0.500 0.310
Mg 0.509 0.000 0.521
Mg 0.803 0.500 0.613
Mg 0.905 0.500 0.310



(2)
The following is a computed PXRD pattern of Mn3Ga3N5. It was derived from a PBE-relaxed structure, using CuKα.

Peak list (10 most intense, 2θ = 15–90°, in order of rising 2θ)
2θ = 28.92°, I 25, hkl -1 1 2; 2θ = 32.68°, I 28, hkl 2 -1 0; 2θ = 33.36°, I 26, hkl 1 0 2; 2θ = 33.63°, I 100, hkl 0 2 1; 2θ = 34.03°, I 24, hkl 1 -2 1; 2θ = 35.76°, I 31, hkl -2 1 2; 2θ = 36.36°, I 74, hkl 1 2 0; 2θ = 37.18°, I 31, hkl 0 0 3; 2θ = 37.82°, I 30, hkl 2 0 1; 2θ = 38.40°, I 26, hkl 0 1 -3

Structural model:
Unit cell a=5.980 b=6.136 c=7.659 alpha=93.98 beta=107.41 gamma=98.69
Element x y z (fractional)
Mn 0.108 0.017 0.281
Mn 0.263 0.787 0.076
Mn 0.339 0.877 0.701
Mn 0.661 0.123 0.299
Mn 0.737 0.213 0.924
Mn 0.892 0.983 0.719
Ga 0.012 0.503 0.323
Ga 0.357 0.301 0.985
Ga 0.477 0.339 0.636
Ga 0.523 0.661 0.364
Ga 0.643 0.699 0.015
Ga 0.988 0.497 0.677
N 0.022 0.275 0.839
N 0.099 0.793 0.811
N 0.255 0.053 0.520
N 0.277 0.570 0.557
N 0.340 0.095 0.173
N 0.660 0.905 0.827
N 0.723 0.430 0.443
N 0.745 0.947 0.480
N 0.901 0.207 0.189
N 0.978 0.725 0.161